[1]
Starting from a cell relaxed with GGA-PBE, the X-ray powder pattern of Sm3Al4Ga4 was calculated for CuKα.
No peak broadening, texture or thermal motion is included.

Atomic structure:
Cell lengths 13.283, 13.283, 13.283 Å; angles 162.05, 161.31, 26.03 degrees
Element x y z (fractional)
1 Sm 0.000 0.000 0.000
2 Sm 0.355 0.855 0.500
3 Sm 0.645 0.145 0.500
4 Al 0.094 0.594 0.500
5 Al 0.252 0.252 0.000
6 Al 0.748 0.748 0.000
7 Al 0.906 0.406 0.500
8 Ga 0.190 0.690 0.500
9 Ga 0.452 0.452 0.000
10 Ga 0.548 0.548 0.000
11 Ga 0.810 0.310 0.500

Principal peaks in the range 2θ from 10° to 90°, by angle:
2θ/deg	I_rel
20.59	25
26.91	20
30.70	57
32.45	68
33.01	100
41.89	31
43.67	27
43.83	40
53.96	32
63.59	26


[2]
Starting from a cell relaxed with GGA-PBE, the X-ray powder pattern of Sm2Al3Ga6 was calculated for CuKα.
No peak broadening, texture or thermal motion is included.

Atomic structure:
Cell lengths 7.676, 7.676, 3.947 Å; angles 90.00, 90.00, 101.52 degrees
Element x y z (fractional)
1 Sm 0.193 0.807 0.000
2 Sm 0.807 0.193 0.000
3 Al 0.302 0.302 0.000
4 Al 0.500 0.500 0.500
5 Al 0.698 0.698 0.000
6 Ga 0.122 0.122 0.500
7 Ga 0.149 0.464 0.500
8 Ga 0.464 0.149 0.500
9 Ga 0.536 0.851 0.500
10 Ga 0.851 0.536 0.500
11 Ga 0.878 0.878 0.500

Principal peaks in the range 2θ from 10° to 90°, by angle:
2θ/deg	I_rel
11.77	31
27.12	21
29.16	67
32.90	75
33.34	100
35.82	69
45.79	21
45.98	32
53.12	35
59.62	31


[3]
Starting from a cell relaxed with GGA-PBE, the X-ray powder pattern of Sm3AlZn6Ga2 was calculated for CuKα.
No peak broadening, texture or thermal motion is included.

Atomic structure:
Cell lengths 5.898, 5.898, 8.299 Å; angles 90.00, 90.00, 120.00 degrees
Element x y z (fractional)
1 Sm 0.000 0.000 0.000
2 Sm 0.333 0.667 0.624
3 Sm 0.667 0.333 0.376
4 Al 0.000 0.000 0.500
5 Zn 0.184 0.368 0.281
6 Zn 0.184 0.816 0.281
7 Zn 0.368 0.184 0.719
8 Zn 0.632 0.816 0.281
9 Zn 0.816 0.184 0.719
10 Zn 0.816 0.632 0.719
11 Ga 0.333 0.667 0.998
12 Ga 0.667 0.333 0.002

Principal peaks in the range 2θ from 10° to 90°, by angle:
2θ/deg	I_rel
20.42	33
27.70	30
30.31	65
32.36	38
36.82	100
36.96	33
37.41	60
41.52	53
44.93	30
63.05	31


[4]
Starting from a cell relaxed with GGA-PBE, the X-ray powder pattern of AlGa5Sn was calculated for CuKα.
No peak broadening, texture or thermal motion is included.

Atomic structure:
Cell lengths 4.054, 4.054, 8.752 Å; angles 90.00, 90.00, 90.00 degrees
Element x y z (fractional)
1 Al 0.000 0.000 0.000
2 Ga 0.000 0.500 0.244
3 Ga 0.000 0.500 0.756
4 Ga 0.500 0.000 0.244
5 Ga 0.500 0.000 0.756
6 Ga 0.500 0.500 0.000
7 Sn 0.500 0.500 0.500

Principal peaks in the range 2θ from 10° to 90°, by angle:
2θ/deg	I_rel
21.92	21
30.05	19
37.50	100
41.26	19
44.70	30
62.45	22
65.07	10
72.73	14
77.59	23
80.02	11


[5]
Starting from a cell relaxed with GGA-PBE, the X-ray powder pattern of AlGa2Sn2 was calculated for CuKα.
No peak broadening, texture or thermal motion is included.

Atomic structure:
Cell lengths 7.976, 7.976, 3.601 Å; angles 90.00, 90.00, 90.00 degrees
Element x y z (fractional)
1 Al 0.000 0.000 0.000
2 Al 0.500 0.500 0.000
3 Ga 0.138 0.362 0.000
4 Ga 0.362 0.862 0.000
5 Ga 0.638 0.138 0.000
6 Ga 0.862 0.638 0.000
7 Sn 0.160 0.660 0.500
8 Sn 0.340 0.160 0.500
9 Sn 0.660 0.840 0.500
10 Sn 0.840 0.340 0.500

Principal peaks in the range 2θ from 10° to 90°, by angle:
2θ/deg	I_rel
15.71	21
22.29	9
35.42	100
35.59	32
45.49	10
48.42	12
50.70	9
53.79	13
63.47	12
68.50	20


[6]
Starting from a cell relaxed with GGA-PBE, the X-ray powder pattern of SrAl4Ga12 was calculated for CuKα.
No peak broadening, texture or thermal motion is included.

Atomic structure:
Cell lengths 7.816, 7.816, 7.816 Å; angles 109.47, 109.47, 109.47 degrees
Element x y z (fractional)
1 Sr 0.000 0.000 0.000
2 Al 0.000 0.000 0.500
3 Al 0.000 0.500 0.000
4 Al 0.500 0.000 0.000
5 Al 0.500 0.500 0.500
6 Ga 0.151 0.508 0.357
7 Ga 0.151 0.793 0.643
8 Ga 0.207 0.357 0.849
9 Ga 0.357 0.151 0.508
10 Ga 0.357 0.849 0.207
11 Ga 0.492 0.643 0.849
12 Ga 0.508 0.357 0.151
13 Ga 0.643 0.151 0.793
14 Ga 0.643 0.849 0.492
15 Ga 0.793 0.643 0.151
16 Ga 0.849 0.207 0.357
17 Ga 0.849 0.492 0.643

Principal peaks in the range 2θ from 10° to 90°, by angle:
2θ/deg	I_rel
31.34	100
37.28	35
44.92	11
49.48	13
51.64	42
61.66	12
70.81	12
72.57	7
81.16	10
84.54	7


[7]
Starting from a cell relaxed with GGA-PBE, the X-ray powder pattern of Sr2Al7Ga was calculated for CuKα.
No peak broadening, texture or thermal motion is included.

Atomic structure:
Cell lengths 4.461, 4.461, 11.213 Å; angles 90.00, 90.00, 90.00 degrees
Element x y z (fractional)
1 Sr 0.000 0.500 0.249
2 Sr 0.500 0.000 0.751
3 Al 0.000 0.000 0.000
4 Al 0.000 0.000 0.500
5 Al 0.000 0.500 0.634
6 Al 0.000 0.500 0.868
7 Al 0.500 0.000 0.132
8 Al 0.500 0.000 0.366
9 Al 0.500 0.500 0.500
10 Ga 0.500 0.500 0.000

Principal peaks in the range 2θ from 10° to 90°, by angle:
2θ/deg	I_rel
21.44	26
31.22	58
32.57	100
40.44	45
45.26	25
51.95	27
57.30	15
58.52	15
62.29	19
68.60	22


[8]
Starting from a cell relaxed with GGA-PBE, the X-ray powder pattern of Sr2AlGa10 was calculated for CuKα.
No peak broadening, texture or thermal motion is included.

Atomic structure:
Cell lengths 5.768, 7.125, 15.240 Å; angles 90.00, 98.66, 90.00 degrees
Element x y z (fractional)
1 Sr 0.045 0.223 0.141
2 Sr 0.045 0.277 0.641
3 Sr 0.955 0.723 0.359
4 Sr 0.955 0.777 0.859
5 Al 0.500 0.000 0.000
6 Al 0.500 0.500 0.500
7 Ga 0.172 0.197 0.421
8 Ga 0.172 0.303 0.921
9 Ga 0.261 0.719 0.075
10 Ga 0.261 0.781 0.575
11 Ga 0.405 0.066 0.829
12 Ga 0.405 0.434 0.329
13 Ga 0.427 0.050 0.303
14 Ga 0.427 0.450 0.803
15 Ga 0.488 0.645 0.941
16 Ga 0.488 0.855 0.441
17 Ga 0.512 0.145 0.559
18 Ga 0.512 0.355 0.059
19 Ga 0.573 0.550 0.197
20 Ga 0.573 0.950 0.697
21 Ga 0.595 0.566 0.671
22 Ga 0.595 0.934 0.171
23 Ga 0.739 0.219 0.425
24 Ga 0.739 0.281 0.925
25 Ga 0.828 0.697 0.079
26 Ga 0.828 0.803 0.579

Principal peaks in the range 2θ from 10° to 90°, by angle:
2θ/deg	I_rel
15.54	57
21.96	38
27.70	47
29.20	40
29.57	88
32.87	100
36.58	47
37.56	76
38.75	55
45.12	69


[9]
Starting from a cell relaxed with GGA-PBE, the X-ray powder pattern of Sr3Al2Ga7 was calculated for CuKα.
No peak broadening, texture or thermal motion is included.

Atomic structure:
Cell lengths 16.703, 16.703, 4.208 Å; angles 90.00, 90.00, 164.33 degrees
Element x y z (fractional)
1 Sr 0.000 0.000 0.000
2 Sr 0.200 0.800 0.000
3 Sr 0.800 0.200 0.000
4 Al 0.427 0.573 0.500
5 Al 0.573 0.427 0.500
6 Ga 0.119 0.881 0.500
7 Ga 0.326 0.674 0.500
8 Ga 0.379 0.621 0.000
9 Ga 0.500 0.500 0.500
10 Ga 0.621 0.379 0.000
11 Ga 0.674 0.326 0.500
12 Ga 0.881 0.119 0.500

Principal peaks in the range 2θ from 10° to 90°, by angle:
2θ/deg	I_rel
10.69	16
16.07	20
26.94	16
31.96	100
39.57	23
41.90	27
42.98	22
46.19	12
59.84	13
67.04	11


[10]
Starting from a cell relaxed with GGA-PBE, the X-ray powder pattern of Sr6AlGa was calculated for CuKα.
No peak broadening, texture or thermal motion is included.

Atomic structure:
Cell lengths 11.054, 11.054, 11.054 Å; angles 150.00, 150.00, 42.94 degrees
Element x y z (fractional)
1 Sr 0.091 0.591 0.500
2 Sr 0.249 0.249 0.000
3 Sr 0.409 0.909 0.500
4 Sr 0.591 0.091 0.500
5 Sr 0.751 0.751 0.000
6 Sr 0.909 0.409 0.500
7 Al 0.000 0.000 0.000
8 Ga 0.500 0.500 0.000

Principal peaks in the range 2θ from 10° to 90°, by angle:
2θ/deg	I_rel
23.63	29
25.99	20
28.06	100
31.26	58
34.28	17
41.09	24
41.61	15
44.80	21
53.70	32
63.23	13


[11]
Starting from a cell relaxed with GGA-PBE, the X-ray powder pattern of Sr8AlGa2 was calculated for CuKα.
No peak broadening, texture or thermal motion is included.

Atomic structure:
Cell lengths 9.895, 9.895, 9.895 Å; angles 147.56, 124.76, 65.54 degrees
Element x y z (fractional)
1 Sr 0.121 0.338 0.783
2 Sr 0.139 0.139 0.000
3 Sr 0.313 0.000 0.313
4 Sr 0.446 0.662 0.783
5 Sr 0.554 0.338 0.217
6 Sr 0.687 0.000 0.687
7 Sr 0.861 0.861 0.000
8 Sr 0.879 0.662 0.217
9 Al 0.000 0.500 0.500
10 Ga 0.315 0.815 0.500
11 Ga 0.685 0.185 0.500

Principal peaks in the range 2θ from 10° to 90°, by angle:
2θ/deg	I_rel
28.55	24
29.70	11
30.00	100
32.28	20
32.39	27
35.23	10
46.38	14
56.30	16
57.35	10
59.55	9


[12]
Starting from a cell relaxed with GGA-PBE, the X-ray powder pattern of Sr3Al3Ga8 was calculated for CuKα.
No peak broadening, texture or thermal motion is included.

Atomic structure:
Cell lengths 8.727, 8.727, 8.727 Å; angles 150.81, 108.82, 78.72 degrees
Element x y z (fractional)
1 Sr 0.000 0.000 0.000
2 Sr 0.308 0.308 0.000
3 Sr 0.692 0.692 0.000
4 Al 0.290 0.500 0.790
5 Al 0.500 0.000 0.500
6 Al 0.710 0.500 0.210
7 Ga 0.027 0.661 0.367
8 Ga 0.140 0.859 0.280
9 Ga 0.294 0.661 0.633
10 Ga 0.421 0.141 0.280
11 Ga 0.579 0.859 0.720
12 Ga 0.706 0.339 0.367
13 Ga 0.860 0.141 0.720
14 Ga 0.973 0.339 0.633

Principal peaks in the range 2θ from 10° to 90°, by angle:
2θ/deg	I_rel
31.84	27
33.11	23
33.40	64
33.51	100
34.65	24
40.09	28
41.04	44
41.61	19
53.13	19
64.25	19